No. 1
For NdAsO4, a PBE-relaxed structure gives the computed powder X-ray diffraction pattern in this record (CuKα).

```
NdAsO4
1.0
6.772 0.000 0.000
0.000 7.199 0.000
-4.950 0.000 6.765
Nd As O
4 4 16
direct
0.187 0.151 0.282
0.187 0.349 0.782
0.813 0.651 0.218
0.813 0.849 0.718
0.310 0.662 0.197
0.310 0.838 0.697
0.690 0.162 0.303
0.690 0.338 0.803
0.105 0.656 0.607
0.105 0.844 0.107
0.171 0.004 0.748
0.171 0.496 0.248
0.350 0.606 0.018
0.350 0.894 0.518
0.391 0.213 0.116
0.391 0.287 0.616
0.609 0.713 0.384
0.609 0.787 0.884
0.650 0.106 0.482
0.650 0.394 0.982
0.829 0.504 0.752
0.829 0.996 0.252
0.895 0.156 0.893
0.895 0.344 0.393
```

Top 12 peaks for 10° ≤ 2θ ≤ 80°, low angle first:
| 2theta | d (Å) | I_rel |
| --- | --- | --- |
| 26.35 | 3.383 | 55 |
| 28.08 | 3.178 | 100 |
| 29.17 | 3.062 | 19 |
| 29.79 | 2.999 | 24 |
| 30.02 | 2.977 | 64 |
| 32.78 | 2.732 | 25 |
| 35.13 | 2.555 | 18 |
| 40.03 | 2.253 | 16 |
| 45.08 | 2.011 | 31 |
| 46.81 | 1.941 | 27 |
| 49.67 | 1.835 | 23 |
| 51.06 | 1.789 | 24 |



No. 2
For Na3Ga, a PBE-relaxed structure gives the computed powder X-ray diffraction pattern in this record (CuKα).

```
Na3Ga
1.0
7.651 0.000 0.000
0.000 7.651 0.000
0.000 0.000 7.651
Na Ga
12 4
direct
0.000 0.000 0.000
0.000 0.500 0.500
0.250 0.250 0.250
0.250 0.250 0.750
0.250 0.750 0.250
0.250 0.750 0.750
0.500 0.000 0.500
0.500 0.500 0.000
0.750 0.250 0.250
0.750 0.250 0.750
0.750 0.750 0.250
0.750 0.750 0.750
0.000 0.000 0.500
0.000 0.500 0.000
0.500 0.000 0.000
0.500 0.500 0.500
```

Top 12 peaks for 10° ≤ 2θ ≤ 80°, low angle first:
| 2theta | d (Å) | I_rel |
| --- | --- | --- |
| 20.10 | 4.417 | 25 |
| 23.25 | 3.826 | 13 |
| 33.12 | 2.705 | 100 |
| 39.04 | 2.307 | 14 |
| 47.54 | 1.913 | 17 |
| 52.10 | 1.755 | 6 |
| 53.56 | 1.711 | 6 |
| 59.16 | 1.562 | 34 |
| 63.14 | 1.472 | 5 |
| 69.50 | 1.353 | 10 |
| 73.18 | 1.293 | 5 |
| 79.17 | 1.210 | 13 |



No. 3
For Zn5P6H22N2O22, a PBE-relaxed structure gives the computed powder X-ray diffraction pattern in this record (CuKα).

```
Zn5P6H22N2O22
1.0
7.304 0.000 0.000
2.914 9.464 0.000
0.552 4.693 9.268
Zn P H N O
5 6 22 2 22
direct
0.000 0.000 0.000
0.138 0.644 0.519
0.164 0.296 0.163
0.836 0.704 0.837
0.862 0.356 0.481
0.249 0.939 0.297
0.261 0.409 0.381
0.262 0.496 0.849
0.738 0.504 0.151
0.739 0.591 0.619
0.751 0.061 0.703
0.116 0.215 0.773
0.169 0.724 0.997
0.179 0.945 0.723
0.223 0.697 0.152
0.236 0.085 0.575
0.240 0.191 0.901
0.268 0.903 0.586
0.404 0.837 0.265
0.415 0.931 0.690
0.443 0.497 0.887
0.450 0.342 0.449
0.550 0.658 0.551
0.557 0.503 0.113
0.585 0.069 0.310
0.596 0.163 0.735
0.732 0.097 0.414
0.760 0.809 0.099
0.764 0.915 0.425
0.777 0.303 0.848
0.821 0.055 0.277
0.831 0.276 0.003
0.884 0.785 0.227
0.276 0.963 0.645
0.724 0.037 0.355
0.076 0.000 0.188
0.119 0.650 0.841
0.148 0.298 0.482
0.185 0.580 0.363
0.193 0.131 0.862
0.205 0.842 0.453
0.210 0.773 0.049
0.225 0.343 0.964
0.273 0.415 0.231
0.275 0.489 0.704
0.320 0.074 0.290
0.680 0.926 0.710
0.725 0.511 0.296
0.727 0.585 0.769
0.775 0.657 0.036
0.790 0.227 0.951
0.795 0.158 0.547
0.807 0.869 0.138
0.815 0.420 0.637
0.852 0.702 0.518
0.881 0.350 0.159
0.924 0.000 0.812
```

Top 12 peaks for 10° ≤ 2θ ≤ 80°, low angle first:
| 2theta | d (Å) | I_rel |
| --- | --- | --- |
| 10.48 | 8.442 | 19 |
| 12.74 | 6.951 | 100 |
| 15.22 | 5.823 | 25 |
| 17.11 | 5.182 | 30 |
| 18.25 | 4.862 | 32 |
| 18.76 | 4.729 | 21 |
| 19.36 | 4.585 | 30 |
| 23.72 | 3.751 | 19 |
| 25.63 | 3.475 | 42 |
| 27.00 | 3.303 | 31 |
| 28.25 | 3.159 | 20 |
| 31.83 | 2.812 | 26 |



No. 4
For Sb3Au2Xe2F19, a PBE-relaxed structure gives the computed powder X-ray diffraction pattern in this record (CuKα).

```
Sb3Au2Xe2F19
1.0
6.879 0.000 0.000
-3.427 8.198 0.000
-1.887 -2.477 9.035
Sb Au Xe F
3 2 2 19
direct
0.000 0.000 0.000
0.469 0.250 0.619
0.531 0.750 0.381
0.021 0.711 0.648
0.979 0.289 0.352
0.251 0.628 0.860
0.749 0.372 0.140
0.000 0.500 0.500
0.022 0.936 0.796
0.132 0.235 0.008
0.176 0.253 0.541
0.253 0.747 0.304
0.283 0.009 0.075
0.309 0.011 0.586
0.395 0.508 0.347
0.421 0.284 0.810
0.493 0.225 0.422
0.507 0.775 0.578
0.579 0.716 0.190
0.605 0.492 0.653
0.691 0.989 0.414
0.717 0.991 0.925
0.747 0.253 0.696
0.824 0.747 0.459
0.868 0.765 0.992
0.978 0.064 0.204
```

Top 12 peaks for 10° ≤ 2θ ≤ 80°, low angle first:
| 2theta | d (Å) | I_rel |
| --- | --- | --- |
| 12.78 | 6.926 | 36 |
| 17.81 | 4.980 | 32 |
| 20.91 | 4.249 | 100 |
| 22.49 | 3.953 | 21 |
| 23.20 | 3.833 | 76 |
| 23.83 | 3.734 | 18 |
| 25.20 | 3.534 | 22 |
| 26.90 | 3.314 | 39 |
| 28.20 | 3.165 | 18 |
| 34.03 | 2.634 | 17 |
| 35.43 | 2.534 | 21 |
| 49.76 | 1.832 | 21 |



No. 5
For NdAl10Os2, a PBE-relaxed structure gives the computed powder X-ray diffraction pattern in this record (CuKα).

```
NdAl10Os2
1.0
4.579 -5.148 0.000
4.579 5.148 0.000
0.000 0.000 9.222
Nd Al Os
2 20 4
direct
0.126 0.874 0.750
0.874 0.126 0.250
0.143 0.413 0.750
0.160 0.840 0.102
0.160 0.840 0.398
0.219 0.483 0.250
0.227 0.227 0.000
0.227 0.227 0.500
0.378 0.622 0.550
0.378 0.622 0.950
0.413 0.143 0.250
0.483 0.219 0.750
0.517 0.781 0.250
0.587 0.857 0.750
0.622 0.378 0.050
0.622 0.378 0.450
0.773 0.773 0.000
0.773 0.773 0.500
0.781 0.517 0.750
0.840 0.160 0.602
0.840 0.160 0.898
0.857 0.587 0.250
0.000 0.500 0.000
0.000 0.500 0.500
0.500 0.000 0.000
0.500 0.000 0.500
```

Top 12 peaks for 10° ≤ 2θ ≤ 80°, low angle first:
| 2theta | d (Å) | I_rel |
| --- | --- | --- |
| 17.22 | 5.148 | 69 |
| 19.38 | 4.579 | 24 |
| 25.94 | 3.435 | 40 |
| 26.04 | 3.422 | 39 |
| 27.45 | 3.249 | 72 |
| 32.59 | 2.748 | 45 |
| 39.07 | 2.305 | 31 |
| 39.37 | 2.289 | 52 |
| 40.15 | 2.246 | 100 |
| 44.93 | 2.018 | 31 |
| 57.30 | 1.608 | 35 |
| 57.45 | 1.604 | 24 |



What did the third record say?
For Zn5P6H22N2O22, a PBE-relaxed structure gives the computed powder X-ray diffraction pattern in this record (CuKα).

```
Zn5P6H22N2O22
1.0
7.304 0.000 0.000
2.914 9.464 0.000
0.552 4.693 9.268
Zn P H N O
5 6 22 2 22
direct
0.000 0.000 0.000
0.138 0.644 0.519
0.164 0.296 0.163
0.836 0.704 0.837
0.862 0.356 0.481
0.249 0.939 0.297
0.261 0.409 0.381
0.262 0.496 0.849
0.738 0.504 0.151
0.739 0.591 0.619
0.751 0.061 0.703
0.116 0.215 0.773
0.169 0.724 0.997
0.179 0.945 0.723
0.223 0.697 0.152
0.236 0.085 0.575
0.240 0.191 0.901
0.268 0.903 0.586
0.404 0.837 0.265
0.415 0.931 0.690
0.443 0.497 0.887
0.450 0.342 0.449
0.550 0.658 0.551
0.557 0.503 0.113
0.585 0.069 0.310
0.596 0.163 0.735
0.732 0.097 0.414
0.760 0.809 0.099
0.764 0.915 0.425
0.777 0.303 0.848
0.821 0.055 0.277
0.831 0.276 0.003
0.884 0.785 0.227
0.276 0.963 0.645
0.724 0.037 0.355
0.076 0.000 0.188
0.119 0.650 0.841
0.148 0.298 0.482
0.185 0.580 0.363
0.193 0.131 0.862
0.205 0.842 0.453
0.210 0.773 0.049
0.225 0.343 0.964
0.273 0.415 0.231
0.275 0.489 0.704
0.320 0.074 0.290
0.680 0.926 0.710
0.725 0.511 0.296
0.727 0.585 0.769
0.775 0.657 0.036
0.790 0.227 0.951
0.795 0.158 0.547
0.807 0.869 0.138
0.815 0.420 0.637
0.852 0.702 0.518
0.881 0.350 0.159
0.924 0.000 0.812
```

Top 12 peaks for 10° ≤ 2θ ≤ 80°, low angle first:
| 2theta | d (Å) | I_rel |
| --- | --- | --- |
| 10.48 | 8.442 | 19 |
| 12.74 | 6.951 | 100 |
| 15.22 | 5.823 | 25 |
| 17.11 | 5.182 | 30 |
| 18.25 | 4.862 | 32 |
| 18.76 | 4.729 | 21 |
| 19.36 | 4.585 | 30 |
| 23.72 | 3.751 | 19 |
| 25.63 | 3.475 | 42 |
| 27.00 | 3.303 | 31 |
| 28.25 | 3.159 | 20 |
| 31.83 | 2.812 | 26 |